No. 1
Structure and calculated X-ray diffraction stick pattern of Sm5Tm3Bi8 (a cell relaxed with GGA-PBE; Cu Ka).
Peak positions follow from Bragg's law for the DFT cell and can differ from measured ones.

Peak list (9 most intense, 2θ = 5–70°, by angle)
2θ/deg  I_rel
12.01  1
24.15  3
27.96  100
39.95  78
47.23  2
49.47  28
57.78  13
63.54  1
65.39  37

Crystal structure
```
data_Sm5Tm3Bi8
_chemical_formula_sum 'Sm15 Tm9 Bi24'
_cell_length_a 9.0292
_cell_length_b 9.0292
_cell_length_c 22.0968
_cell_angle_alpha 90.00
_cell_angle_beta 90.00
_cell_angle_gamma 120.00
_space_group_name_H-M_alt 'R -3 m'
_space_group_IT_number 166
_space_group_name_Hall '-R 3 2"'
loop_
_atom_site_label
_atom_site_type_symbol
_atom_site_fract_x
_atom_site_fract_y
_atom_site_fract_z
Sm1 Sm 0.0000 0.0000 0.0000
Sm2 Sm 0.0000 0.0000 0.5000
Sm3 Sm 0.0000 0.5000 0.0000
Tm1 Tm 0.0000 0.5000 0.5000
Bi1 Bi 0.0000 0.0000 0.2471
Bi2 Bi 0.0039 0.5020 0.7520
```

---

No. 2
Structure and calculated X-ray diffraction stick pattern of Ac2BiRhO6 (a cell relaxed with GGA-PBE; Cu Ka).
Peak positions follow from Bragg's law for the DFT cell and can differ from measured ones.

Peak list (10 most intense, 2θ = 5–70°, by angle)
2θ/deg  I_rel
27.62  97
29.09  100
30.91  40
31.87  34
35.65  26
44.99  33
47.89  30
52.99  18
53.85  22
55.94  18

Crystal structure
```
data_Ac2BiRhO6
_chemical_formula_sum 'Ac4 Bi2 Rh2 O12'
_cell_length_a 12.002
_cell_length_b 5.786
_cell_length_c 5.050
_cell_angle_alpha 90.00
_cell_angle_beta 110.66
_cell_angle_gamma 90.00
_space_group_name_H-M_alt 'C 1 2/m 1'
_space_group_IT_number 12
_space_group_name_Hall '-C 2y'
loop_
_atom_site_label
_atom_site_type_symbol
_atom_site_fract_x
_atom_site_fract_y
_atom_site_fract_z
Ac1 Ac 0.235 0.000 0.209
Bi1 Bi 0.000 0.500 0.000
Rh1 Rh 0.000 0.000 0.500
O1 O 0.088 0.236 0.783
O2 O 0.199 0.500 0.282
```

---

No. 3
Structure and calculated X-ray diffraction stick pattern of Na2CdCl4 (a cell relaxed with GGA-PBE; Cu Ka).
Peak positions follow from Bragg's law for the DFT cell and can differ from measured ones.

Peak list (10 most intense, 2θ = 5–70°, by angle)
2θ/deg  I_rel
10.90  33
13.35  72
17.27  43
18.90  20
25.72  70
31.14  100
40.81  43
44.62  93
46.78  17
55.41  20

Crystal structure
```
data_Na2CdCl4
_chemical_formula_sum 'Na8 Cd4 Cl16'
_cell_length_a 8.117
_cell_length_b 8.117
_cell_length_c 11.509
_cell_angle_alpha 90.00
_cell_angle_beta 90.00
_cell_angle_gamma 90.00
_space_group_name_H-M_alt 'P 41 2 2'
_space_group_IT_number 91
_space_group_name_Hall 'P 4w 2c'
loop_
_atom_site_label
_atom_site_type_symbol
_atom_site_fract_x
_atom_site_fract_y
_atom_site_fract_z
Na1 Na 0.000 0.252 0.000
Na2 Na 0.249 0.249 0.375
Cd1 Cd 0.249 0.500 0.750
Cl1 Cl 0.029 0.263 0.752
Cl2 Cl 0.265 0.485 0.984
```

---

No. 4
Structure and calculated X-ray diffraction stick pattern of YEr6Th2 (a cell relaxed with GGA-PBE; Cu Ka).
Peak positions follow from Bragg's law for the DFT cell and can differ from measured ones.

Peak list (10 most intense, 2θ = 5–70°, by angle)
2θ/deg  I_rel
29.05  47
30.85  77
32.19  59
33.84  100
35.77  18
42.88  31
51.49  45
57.86  32
61.23  50
63.05  17

Crystal structure
```
data_YEr6Th2
_chemical_formula_sum 'Y1 Er6 Th2'
_cell_length_a 3.5498
_cell_length_b 3.5498
_cell_length_c 26.0901
_cell_angle_alpha 90.00
_cell_angle_beta 90.00
_cell_angle_gamma 120.00
_space_group_name_H-M_alt 'P -6 m 2'
_space_group_IT_number 187
_space_group_name_Hall 'P -6 2'
loop_
_atom_site_label
_atom_site_type_symbol
_atom_site_fract_x
_atom_site_fract_y
_atom_site_fract_z
Y1 Y 0.0000 0.0000 0.0000
Er1 Er 0.0000 0.0000 0.2163
Er2 Er 0.0000 0.0000 0.4367
Er3 Er 0.3333 0.6667 0.1093
Th1 Th 0.3333 0.6667 0.3288
```